No. 1
Structure and computed powder diffraction line list of SrAgF (DFT lattice parameters and positions (GGA-PBE); Cu Kα (weighted mean of Kα1 and Kα2)).
Intensities are scaled so that the largest is 100.

Structural model:
```
data_SrAgF
_chemical_formula_sum 'Sr6 Ag6 F6'
_cell_length_a 4.2262
_cell_length_b 4.2262
_cell_length_c 27.6358
_cell_angle_alpha 90.00
_cell_angle_beta 90.00
_cell_angle_gamma 120.00
_symmetry_space_group_name_H-M 'R -3 m'
_symmetry_Int_Tables_number 166
_symmetry_space_group_name_Hall '-R 3 2"'
loop_
_atom_site_label
_atom_site_type_symbol
_atom_site_fract_x
_atom_site_fract_y
_atom_site_fract_z
_atom_site_occupancy
Sr1 Sr 0.0000 0.0000 0.2278 1
Ag1 Ag 0.0000 0.0000 0.3582 1
F1 F 0.0000 0.0000 0.1363 1
```

Most intense lines, 15 to 90 degrees two-theta, sorted by position:
- 2θ 25.2, intensity 93, hkl 0 1 2
- 2θ 29.3, intensity 30, hkl 0 1 5
- 2θ 33.4, intensity 100, hkl 1 0 7
- 2θ 35.7, intensity 51, hkl 0 1 8
- 2θ 40.9, intensity 32, hkl 1 0 10
- 2θ 42.8, intensity 86, hkl 1 1 0
- 2θ 52.6, intensity 21, hkl 1 1 9
- 2θ 52.7, intensity 30, hkl 0 1 14
- 2θ 55.3, intensity 23, hkl 0 2 7
- 2θ 72.4, intensity 21, hkl 2 1 7

---

No. 2
Structure and computed powder diffraction line list of SrTlAgF6 (DFT lattice parameters and positions (GGA-PBE); Cu Kα (weighted mean of Kα1 and Kα2)).
Intensities are scaled so that the largest is 100.

Structural model:
```
data_SrTlAgF6
_chemical_formula_sum 'Sr2 Tl2 Ag2 F12'
_cell_length_a 5.4314
_cell_length_b 5.4314
_cell_length_c 11.2474
_cell_angle_alpha 90.00
_cell_angle_beta 90.00
_cell_angle_gamma 90.00
_symmetry_space_group_name_H-M 'P 42 n m'
_symmetry_Int_Tables_number 102
loop_
_symmetry_equiv_pos_as_xyz
'x,y,z'
'-y+1/2,x+1/2,z+1/2'
'-x,-y,z'
'y+1/2,-x+1/2,z+1/2'
'-x+1/2,y+1/2,z+1/2'
'y,x,z'
'x+1/2,-y+1/2,z+1/2'
'-y,-x,z'
loop_
_atom_site_label
_atom_site_type_symbol
_atom_site_fract_x
_atom_site_fract_y
_atom_site_fract_z
_atom_site_occupancy
Sr1 Sr 0.0000 0.0000 0.0000 1
Tl1 Tl 0.0000 0.0000 0.6667 1
Ag1 Ag 0.0000 0.0000 0.3314 1
F1 F 0.1853 0.1853 0.8192 1
F2 F 0.1875 0.1875 0.5171 1
F3 F 0.2137 0.2137 0.1606 1
```

Most intense lines, 15 to 90 degrees two-theta, sorted by position:
- 2θ 18.1, intensity 23, hkl 1 0 1
- 2θ 23.2, intensity 100, hkl 1 1 0
- 2θ 28.9, intensity 87, hkl 1 0 3
- 2θ 33.0, intensity 22, hkl 2 0 0
- 2θ 44.4, intensity 75, hkl 2 1 3
- 2θ 47.3, intensity 19, hkl 2 2 0
- 2θ 53.3, intensity 16, hkl 3 1 0
- 2θ 54.5, intensity 19, hkl 1 1 6
- 2θ 56.4, intensity 23, hkl 3 0 3
- 2θ 66.9, intensity 14, hkl 3 2 3

---

No. 3
Structure and computed powder diffraction line list of TaAg3F8 (DFT lattice parameters and positions (GGA-PBE); Cu Kα (weighted mean of Kα1 and Kα2)).
Intensities are scaled so that the largest is 100.

Structural model:
```
data_TaAg3F8
_chemical_formula_sum 'Ta2 Ag6 F16'
_cell_length_a 6.0547
_cell_length_b 10.7249
_cell_length_c 7.9457
_cell_angle_alpha 90.00
_cell_angle_beta 90.00
_cell_angle_gamma 90.00
_symmetry_space_group_name_H-M 'C 2 2 2'
_symmetry_Int_Tables_number 21
loop_
_symmetry_equiv_pos_as_xyz
'x,y,z'
'-x,-y,z'
'x,-y,-z'
'-x,y,-z'
'x+1/2,y+1/2,z'
'-x+1/2,-y+1/2,z'
'x+1/2,-y+1/2,-z'
'-x+1/2,y+1/2,-z'
loop_
_atom_site_label
_atom_site_type_symbol
_atom_site_fract_x
_atom_site_fract_y
_atom_site_fract_z
_atom_site_occupancy
Ta1 Ta 0.0000 0.0000 0.0000 1
Ag1 Ag 0.0000 0.0000 0.5000 1
Ag2 Ag 0.2500 0.2500 0.2912 1
F1 F 0.0000 0.1809 0.0000 1
F2 F 0.0000 0.1990 0.5000 1
F3 F 0.2236 0.0148 0.1716 1
```

Most intense lines, 15 to 90 degrees two-theta, sorted by position:
- 2θ 16.8, intensity 100, hkl 1 1 0
- 2θ 20.0, intensity 17, hkl 0 2 1
- 2θ 20.2, intensity 66, hkl 1 1 1
- 2θ 28.0, intensity 38, hkl 0 2 2
- 2θ 28.1, intensity 57, hkl 1 1 2
- 2θ 31.2, intensity 17, hkl 1 3 1
- 2θ 33.4, intensity 29, hkl 0 4 0
- 2θ 34.0, intensity 23, hkl 2 2 0
- 2θ 37.3, intensity 45, hkl 2 0 2
- 2θ 51.0, intensity 27, hkl 2 4 2

---

No. 4
Structure and computed powder diffraction line list of Ta2AgF12 (DFT lattice parameters and positions (GGA-PBE); Cu Kα (weighted mean of Kα1 and Kα2)).
Intensities are scaled so that the largest is 100.

Structural model:
```
data_Ta2AgF12
_chemical_formula_sum 'Ta2 Ag1 F12'
_cell_length_a 5.4093
_cell_length_b 5.6729
_cell_length_c 9.3344
_cell_angle_alpha 76.26
_cell_angle_beta 87.72
_cell_angle_gamma 63.25
_symmetry_space_group_name_H-M 'P -1'
_symmetry_Int_Tables_number 2
loop_
_symmetry_equiv_pos_as_xyz
'x,y,z'
'-x,-y,-z'
loop_
_atom_site_label
_atom_site_type_symbol
_atom_site_fract_x
_atom_site_fract_y
_atom_site_fract_z
_atom_site_occupancy
Ta1 Ta 0.2228 0.0117 0.2291 1
Ag1 Ag 0.0000 0.5000 0.5000 1
F1 F 0.1634 0.7718 0.7727 1
F2 F 0.1856 0.7630 0.4182 1
F3 F 0.1962 0.7766 0.1270 1
F4 F 0.2482 0.2303 0.3670 1
F5 F 0.2785 0.2359 0.0633 1
F6 F 0.3869 0.2024 0.7116 1
```

Most intense lines, 15 to 90 degrees two-theta, sorted by position:
- 2θ 18.1, intensity 50, hkl 0 1 0
- 2θ 19.6, intensity 36, hkl 0 0 2
- 2θ 20.0, intensity 35, hkl 1 1 1
- 2θ 20.2, intensity 37, hkl 1 0 -1
- 2θ 21.6, intensity 100, hkl 1 0 1
- 2θ 22.8, intensity 90, hkl 1 1 -1
- 2θ 23.2, intensity 84, hkl 0 1 2
- 2θ 30.0, intensity 38, hkl 0 1 -2
- 2θ 31.1, intensity 33, hkl -1 1 1
- 2θ 31.7, intensity 31, hkl 1 2 1

---

No. 5
Structure and computed powder diffraction line list of TcAgF4 (DFT lattice parameters and positions (GGA-PBE); Cu Kα (weighted mean of Kα1 and Kα2)).
Intensities are scaled so that the largest is 100.

Structural model:
```
data_TcAgF4
_chemical_formula_sum 'Tc2 Ag2 F8'
_cell_length_a 8.0634
_cell_length_b 8.0634
_cell_length_c 2.9907
_cell_angle_alpha 90.00
_cell_angle_beta 90.00
_cell_angle_gamma 90.00
_symmetry_space_group_name_H-M 'P 4/n m m'
_symmetry_Int_Tables_number 129
loop_
_symmetry_equiv_pos_as_xyz
'x,y,z'
'-x,-y,-z'
'-y+1/2,x,z'
'y+1/2,-x,-z'
'-x+1/2,-y+1/2,z'
'x+1/2,y+1/2,-z'
'y,-x+1/2,z'
'-y,x+1/2,-z'
'x+1/2,-y,-z'
'-x+1/2,y,z'
'-y,-x,-z'
'y,x,z'
'-x,y+1/2,-z'
'x,-y+1/2,z'
'y+1/2,x+1/2,-z'
'-y+1/2,-x+1/2,z'
loop_
_atom_site_label
_atom_site_type_symbol
_atom_site_fract_x
_atom_site_fract_y
_atom_site_fract_z
_atom_site_occupancy
Tc1 Tc 0.2500 0.7500 0.0000 1
Ag1 Ag 0.2500 0.2500 0.4967 1
F1 F 0.0092 0.7500 0.0019 1
```

Most intense lines, 15 to 90 degrees two-theta, sorted by position:
- 2θ 22.0, intensity 100, hkl 2 0 0
- 2θ 31.4, intensity 16, hkl 2 2 0
- 2θ 33.8, intensity 69, hkl 1 1 1
- 2θ 45.0, intensity 26, hkl 4 0 0
- 2θ 46.8, intensity 50, hkl 3 1 1
- 2θ 50.6, intensity 20, hkl 4 2 0
- 2θ 57.4, intensity 12, hkl 3 3 1
- 2θ 66.9, intensity 19, hkl 5 1 1
- 2θ 75.8, intensity 12, hkl 5 3 1
- 2θ 84.1, intensity 9, hkl 4 2 2

---

No. 6
Structure and computed powder diffraction line list of TcAgF6 (DFT lattice parameters and positions (GGA-PBE); Cu Kα (weighted mean of Kα1 and Kα2)).
Intensities are scaled so that the largest is 100.

Structural model:
```
data_TcAgF6
_chemical_formula_sum 'Tc2 Ag2 F12'
_cell_length_a 7.6264
_cell_length_b 6.5961
_cell_length_c 5.2430
_cell_angle_alpha 90.00
_cell_angle_beta 111.14
_cell_angle_gamma 90.00
_symmetry_space_group_name_H-M 'C 1 2/m 1'
_symmetry_Int_Tables_number 12
loop_
_symmetry_equiv_pos_as_xyz
'x,y,z'
'-x,-y,-z'
'-x,y,-z'
'x,-y,z'
'x+1/2,y+1/2,z'
'-x+1/2,-y+1/2,-z'
'-x+1/2,y+1/2,-z'
'x+1/2,-y+1/2,z'
loop_
_atom_site_label
_atom_site_type_symbol
_atom_site_fract_x
_atom_site_fract_y
_atom_site_fract_z
_atom_site_occupancy
Tc1 Tc 0.0000 0.0000 0.0000 1
Ag1 Ag 0.0000 0.5000 0.5000 1
F1 F 0.0697 0.2032 0.2795 1
F2 F 0.2452 0.5000 0.9804 1
```

Most intense lines, 15 to 90 degrees two-theta, sorted by position:
- 2θ 22.5, intensity 100, hkl 1 1 -1
- 2θ 25.0, intensity 39, hkl 2 0 0
- 2θ 27.0, intensity 22, hkl 0 2 0
- 2θ 29.0, intensity 39, hkl 1 1 1
- 2θ 37.2, intensity 14, hkl 2 2 0
- 2θ 38.2, intensity 27, hkl 3 1 -1
- 2θ 45.1, intensity 12, hkl 1 3 -1
- 2θ 45.9, intensity 15, hkl 2 2 -2
- 2θ 46.2, intensity 27, hkl 0 2 2
- 2θ 49.0, intensity 14, hkl 1 3 1

---

No. 7
Structure and computed powder diffraction line list of TlTcAgF6 (DFT lattice parameters and positions (GGA-PBE); Cu Kα (weighted mean of Kα1 and Kα2)).
Intensities are scaled so that the largest is 100.

Structural model:
```
data_TlTcAgF6
_chemical_formula_sum 'Tl2 Tc2 Ag2 F12'
_cell_length_a 6.4638
_cell_length_b 6.4638
_cell_length_c 8.4987
_cell_angle_alpha 90.00
_cell_angle_beta 90.00
_cell_angle_gamma 120.00
_symmetry_space_group_name_H-M 'P -3 1 c'
_symmetry_Int_Tables_number 163
_symmetry_space_group_name_Hall '-P 3 2c'
loop_
_atom_site_label
_atom_site_type_symbol
_atom_site_fract_x
_atom_site_fract_y
_atom_site_fract_z
_atom_site_occupancy
Tl1 Tl 0.3333 0.6667 0.2500 1
Tc1 Tc 0.3333 0.6667 0.7500 1
Ag1 Ag 0.0000 0.0000 0.0000 1
F1 F 0.0912 0.4055 0.6184 1
```

Most intense lines, 15 to 90 degrees two-theta, sorted by position:
- 2θ 26.3, intensity 100, hkl 1 0 2
- 2θ 27.6, intensity 89, hkl 1 1 0
- 2θ 34.9, intensity 30, hkl 1 1 2
- 2θ 38.5, intensity 37, hkl 2 0 2
- 2θ 48.0, intensity 40, hkl 2 1 2
- 2θ 48.8, intensity 27, hkl 3 0 0
- 2θ 51.5, intensity 46, hkl 2 -1 4
- 2θ 63.8, intensity 16, hkl 3 1 2
- 2θ 66.7, intensity 15, hkl 3 0 4
- 2θ 73.7, intensity 15, hkl 2 2 4

---

No. 8
Structure and computed powder diffraction line list of Ag2Te2F (DFT lattice parameters and positions (GGA-PBE); Cu Kα (weighted mean of Kα1 and Kα2)).
Intensities are scaled so that the largest is 100.

Structural model:
```
data_Ag2Te2F
_chemical_formula_sum 'Ag4 Te4 F2'
_cell_length_a 6.0276
_cell_length_b 6.0889
_cell_length_c 7.3176
_cell_angle_alpha 84.94
_cell_angle_beta 70.16
_cell_angle_gamma 72.67
_symmetry_space_group_name_H-M 'P 1'
_symmetry_Int_Tables_number 1
loop_
_symmetry_equiv_pos_as_xyz
'x,y,z'
loop_
_atom_site_label
_atom_site_type_symbol
_atom_site_fract_x
_atom_site_fract_y
_atom_site_fract_z
_atom_site_occupancy
Ag1 Ag 0.0000 0.0000 0.0000 1
Ag2 Ag 0.0009 0.8361 0.3956 1
Ag3 Ag 0.5030 0.8412 0.6455 1
Ag4 Ag 0.8988 0.5541 0.1456 1
Te1 Te 0.3531 0.2972 0.5319 1
Te2 Te 0.4383 0.8024 0.0685 1
Te3 Te 0.5176 0.2357 0.1143 1
Te4 Te 0.8341 0.4086 0.5201 1
F1 F 0.0808 0.8658 0.6784 1
F2 F 0.1475 0.3601 0.8560 1
```

Most intense lines, 15 to 90 degrees two-theta, sorted by position:
- 2θ 19.8, intensity 31, hkl 1 1 1
- 2θ 25.7, intensity 29, hkl 1 0 2
- 2θ 25.9, intensity 100, hkl 0 0 2
- 2θ 30.4, intensity 82, hkl 1 2 0
- 2θ 30.8, intensity 32, hkl 0 2 0
- 2θ 31.1, intensity 76, hkl 1 2 1
- 2θ 33.0, intensity 49, hkl 2 0 0
- 2θ 42.6, intensity 30, hkl 0 1 3
- 2θ 43.7, intensity 29, hkl 1 2 -2
- 2θ 43.9, intensity 29, hkl 1 -2 2